Starting from a cell relaxed with PBE, the XRD peak list of Sr15Pd5O24 was computed for Cu Ka.

Top 12 peaks for 10 to 80 degrees two-theta, by angle:
18.1 deg, 4.893 Å, I = 31, hkl 1 1 0
28.9 deg, 3.091 Å, I = 62, hkl 1 1 6
31.6 deg, 2.827 Å, I = 100, hkl 3 0 0
36.8 deg, 2.443 Å, I = 32, hkl 2 0 8
39.0 deg, 2.308 Å, I = 15, hkl 3 1 2
41.3 deg, 2.186 Å, I = 42, hkl 1 2 8
43.4 deg, 2.086 Å, I = 36, hkl 2 2 6
49.3 deg, 1.850 Å, I = 16, hkl 3 1 8
54.7 deg, 1.679 Å, I = 10, hkl 4 1 6
56.4 deg, 1.631 Å, I = 44, hkl 3 3 0
63.0 deg, 1.475 Å, I = 10, hkl 5 0 8
66.1 deg, 1.413 Å, I = 14, hkl 6 0 0

Structural model:
Unit cell a=9.7940 b=9.7940 c=23.9015 alpha=90.00 beta=90.00 gamma=120.00
Space group R32 (No. 155, hexagonal axes)
Inequivalent atoms, fractional coordinates:
1 Sr 0.0000 0.0000 0.0000 (multiplicity 3)
2 Sr 0.0000 0.0000 0.2507 (multiplicity 6)
3 Sr 0.0000 0.3607 0.5000 (multiplicity 9)
4 Sr 0.0000 0.3694 0.0000 (multiplicity 9)
5 Sr 0.0026 0.6306 0.2472 (multiplicity 18)
6 Pd 0.0000 0.0000 0.1254 (multiplicity 6)
7 Pd 0.0000 0.0000 0.3759 (multiplicity 6)
8 Pd 0.0000 0.0000 0.5000 (multiplicity 3)
9 O 0.0250 0.1865 0.9249 (multiplicity 18)
10 O 0.0261 0.8419 0.1758 (multiplicity 18)
11 O 0.0279 0.8418 0.6741 (multiplicity 18)
12 O 0.0285 0.1788 0.4282 (multiplicity 18)



Starting from a cell relaxed with PBE, the XRD peak list of SrTe2PdO8 was computed for Cu Ka.

Top 12 peaks for 10 to 80 degrees two-theta, by angle:
13.0 deg, 6.836 Å, I = 35, hkl 0 0 3
25.8 deg, 3.453 Å, I = 100, hkl 1 0 4
33.2 deg, 2.697 Å, I = 68, hkl 1 1 0
36.2 deg, 2.482 Å, I = 15, hkl 1 0 7
39.6 deg, 2.278 Å, I = 10, hkl 0 0 9
40.1 deg, 2.247 Å, I = 9, hkl 0 1 8
42.5 deg, 2.125 Å, I = 31, hkl 0 2 4
48.5 deg, 1.878 Å, I = 9, hkl 1 0 10
49.9 deg, 1.826 Å, I = 9, hkl 0 2 7
55.0 deg, 1.669 Å, I = 26, hkl 2 1 4
59.4 deg, 1.557 Å, I = 19, hkl 3 0 0
75.7 deg, 1.256 Å, I = 9, hkl 4 -3 4

Structural model:
Unit cell a=5.3930 b=5.3930 c=20.5079 alpha=90.00 beta=90.00 gamma=120.00
Space group R-3 (No. 148, hexagonal axes)
Inequivalent atoms, fractional coordinates:
1 Sr 0.0000 0.0000 0.0000 (multiplicity 3)
2 Te 0.0000 0.0000 0.2218 (multiplicity 6)
3 Pd 0.0000 0.0000 0.5000 (multiplicity 3)
4 O 0.0000 0.0000 0.3117 (multiplicity 6)
5 O 0.0011 0.6225 0.2208 (multiplicity 18)



Starting from a cell relaxed with PBE, the XRD peak list of SrTm2PdO5 was computed for Cu Ka.

Top 12 peaks for 10 to 80 degrees two-theta, by angle:
14.7 deg, 6.040 Å, I = 31, hkl 0 0 2
29.6 deg, 3.020 Å, I = 51, hkl 0 0 4
31.7 deg, 2.826 Å, I = 100, hkl 2 0 2
32.2 deg, 2.784 Å, I = 61, hkl 2 1 1
38.6 deg, 2.332 Å, I = 65, hkl 2 1 3
39.9 deg, 2.261 Å, I = 20, hkl 2 2 0
47.4 deg, 1.918 Å, I = 19, hkl 3 1 2
49.4 deg, 1.846 Å, I = 35, hkl 2 1 5
50.4 deg, 1.810 Å, I = 19, hkl 2 2 4
53.8 deg, 1.704 Å, I = 22, hkl 2 0 6
60.1 deg, 1.539 Å, I = 16, hkl 4 1 1
64.4 deg, 1.448 Å, I = 16, hkl 4 1 3

Structural model:
Unit cell a=6.396 b=6.396 c=12.080 alpha=90.00 beta=90.00 gamma=90.00
Space group I4/mcm (No. 140)
Inequivalent atoms, fractional coordinates:
1 Sr 0.000 0.000 0.250 (multiplicity 4)
2 Tm 0.172 0.328 0.000 (multiplicity 8)
3 Pd 0.000 0.500 0.250 (multiplicity 4)
4 O 0.000 0.000 0.000 (multiplicity 4)
5 O 0.144 0.356 0.384 (multiplicity 16)



Starting from a cell relaxed with PBE, the XRD peak list of SrZnPdO4 was computed for Cu Ka.

Top 12 peaks for 10 to 80 degrees two-theta, by angle:
28.4 deg, 3.137 Å, I = 60, hkl 2 0 0
30.0 deg, 2.981 Å, I = 100, hkl 1 1 2
31.8 deg, 2.816 Å, I = 85, hkl 1 3 0
42.6 deg, 2.121 Å, I = 27, hkl 2 2 2
45.8 deg, 1.980 Å, I = 16, hkl 0 4 2
50.3 deg, 1.814 Å, I = 18, hkl 0 0 4
51.3 deg, 1.780 Å, I = 19, hkl 3 1 2
52.5 deg, 1.743 Å, I = 22, hkl 3 3 0
54.8 deg, 1.674 Å, I = 30, hkl 2 4 2
58.8 deg, 1.570 Å, I = 27, hkl 4 0 0
60.7 deg, 1.525 Å, I = 25, hkl 1 3 4
75.7 deg, 1.257 Å, I = 14, hkl 3 3 4

Structural model:
Unit cell a=6.275 b=9.451 c=7.258 alpha=90.00 beta=90.00 gamma=90.00
Space group Cmcm (No. 63)
Inequivalent atoms, fractional coordinates:
1 Sr 0.000 0.000 0.000 (multiplicity 4)
2 Zn 0.000 0.371 0.250 (multiplicity 4)
3 Pd 0.000 0.325 0.750 (multiplicity 4)
4 O 0.000 0.275 0.009 (multiplicity 8)
5 O 0.231 0.484 0.750 (multiplicity 8)



Starting from a cell relaxed with PBE, the XRD peak list of Sr2ZrPdO6 was computed for Cu Ka.

Top 12 peaks for 10 to 80 degrees two-theta, by angle:
21.9 deg, 4.065 Å, I = 4, hkl 1 1 -1
31.1 deg, 2.874 Å, I = 100, hkl 1 1 1
36.7 deg, 2.451 Å, I = 1, hkl 1 0 2
44.6 deg, 2.033 Å, I = 31, hkl 0 0 4
50.2 deg, 1.818 Å, I = 1, hkl 1 3 -1
51.5 deg, 1.774 Å, I = 1, hkl 1 3 -2
55.3 deg, 1.660 Å, I = 31, hkl 3 1 -1
55.4 deg, 1.658 Å, I = 11, hkl 3 1 -5
64.8 deg, 1.438 Å, I = 11, hkl 2 2 2
65.0 deg, 1.436 Å, I = 6, hkl 2 2 -6
73.7 deg, 1.286 Å, I = 13, hkl 1 1 5
73.8 deg, 1.284 Å, I = 3, hkl 1 1 -7

Structural model:
Unit cell a=5.752 b=5.749 c=9.943 alpha=90.00 beta=125.20 gamma=90.00
Space group P2_1/c (No. 14)
Inequivalent atoms, fractional coordinates:
1 Sr 0.244 0.027 0.249 (multiplicity 4)
2 Zr 0.500 0.000 0.000 (multiplicity 2)
3 Pd 0.000 0.000 0.500 (multiplicity 2)
4 O 0.182 0.222 0.968 (multiplicity 4)
5 O 0.243 0.715 0.966 (multiplicity 4)
6 O 0.309 0.011 0.746 (multiplicity 4)



Starting from a cell relaxed with PBE, the XRD peak list of TbPd2O4 was computed for Cu Ka.

Top 12 peaks for 10 to 80 degrees two-theta, by angle:
23.9 deg, 3.722 Å, I = 46, hkl 0 2 2
28.6 deg, 3.116 Å, I = 100, hkl 1 1 3
31.6 deg, 2.834 Å, I = 82, hkl 1 3 1
36.6 deg, 2.453 Å, I = 38, hkl 2 2 2
43.0 deg, 2.104 Å, I = 38, hkl 1 1 5
43.4 deg, 2.087 Å, I = 46, hkl 3 1 1
46.1 deg, 1.968 Å, I = 19, hkl 2 2 4
48.9 deg, 1.861 Å, I = 40, hkl 0 4 4
49.1 deg, 1.856 Å, I = 43, hkl 1 5 1
56.3 deg, 1.635 Å, I = 17, hkl 3 3 3
65.9 deg, 1.418 Å, I = 20, hkl 2 6 2
66.0 deg, 1.416 Å, I = 15, hkl 4 0 4

Structural model:
Unit cell a=6.523 b=9.823 c=11.413 alpha=90.00 beta=90.00 gamma=90.00
Space group Fddd (No. 70, origin choice 2)
Inequivalent atoms, fractional coordinates:
1 Tb 0.125 0.125 0.125 (multiplicity 8)
2 Pd 0.000 0.000 0.500 (multiplicity 16)
3 O 0.057 0.297 0.989 (multiplicity 32)



Starting from a cell relaxed with PBE, the XRD peak list of Tc3PdO12 was computed for Cu Ka.

Top 12 peaks for 10 to 80 degrees two-theta, by angle:
13.2 deg, 6.732 Å, I = 94, hkl 0 1 2
18.9 deg, 4.698 Å, I = 24, hkl 0 0 6
22.2 deg, 4.002 Å, I = 100, hkl 1 1 3
26.5 deg, 3.366 Å, I = 37, hkl 0 2 4
27.7 deg, 3.221 Å, I = 57, hkl 1 1 6
31.0 deg, 2.881 Å, I = 9, hkl 2 1 1
35.1 deg, 2.555 Å, I = 39, hkl 3 0 0
38.3 deg, 2.350 Å, I = 9, hkl 0 0 12
53.0 deg, 1.729 Å, I = 26, hkl 0 3 12
53.7 deg, 1.706 Å, I = 9, hkl 3 2 4
58.7 deg, 1.574 Å, I = 13, hkl 2 3 8
63.0 deg, 1.475 Å, I = 9, hkl 3 3 0

Structural model:
Unit cell a=8.8475 b=8.8475 c=28.1853 alpha=90.00 beta=90.00 gamma=120.00
Space group R3c (No. 161, hexagonal axes)
Inequivalent atoms, fractional coordinates:
1 Tc 0.0238 0.3934 0.0000 (multiplicity 18)
2 Pd 0.0000 0.0000 0.2440 (multiplicity 6)
3 O 0.1021 0.2237 0.2851 (multiplicity 18)
4 O 0.1479 0.3867 0.6453 (multiplicity 18)
5 O 0.1902 0.4065 0.0340 (multiplicity 18)
6 O 0.2189 0.1090 0.7014 (multiplicity 18)



Starting from a cell relaxed with PBE, the XRD peak list of TePdO4 was computed for Cu Ka.

Top 12 peaks for 10 to 80 degrees two-theta, by angle:
25.2 deg, 3.533 Å, I = 89, hkl 1 1 1
29.2 deg, 3.061 Å, I = 100, hkl 1 1 2
33.8 deg, 2.653 Å, I = 28, hkl 0 0 4
34.9 deg, 2.572 Å, I = 29, hkl 1 1 3
35.4 deg, 2.539 Å, I = 34, hkl 0 2 2
36.5 deg, 2.460 Å, I = 17, hkl 2 0 0
49.4 deg, 1.846 Å, I = 23, hkl 1 1 5
50.6 deg, 1.804 Å, I = 30, hkl 2 0 4
50.9 deg, 1.795 Å, I = 24, hkl 1 3 0
51.7 deg, 1.767 Å, I = 41, hkl 2 2 2
57.6 deg, 1.600 Å, I = 17, hkl 1 1 6
62.5 deg, 1.487 Å, I = 23, hkl 1 3 4

Structural model:
Unit cell a=4.920 b=5.782 c=10.613 alpha=90.00 beta=90.00 gamma=90.00
Space group Pbcn (No. 60)
Inequivalent atoms, fractional coordinates:
1 Te 0.000 0.186 0.250 (multiplicity 4)
2 Pd 0.000 0.500 0.000 (multiplicity 4)
3 O 0.211 0.228 0.086 (multiplicity 8)
4 O 0.220 0.451 0.333 (multiplicity 8)